# 1
Y3Ga8Ag3: computed powder diffractogram (Cu Kα, 1.54184 Å), based on a PBE-relaxed structure.
Intensities are scaled so that the largest is 100.

Principal peaks in the range 15° ≤ 2θ ≤ 90°, sorted by position:
d (Å)	2theta	I/Imax
2.585	34.7	100
2.509	35.8	17
2.397	37.5	33
2.174	41.5	36
2.163	41.8	22
2.020	44.9	22

Atomic structure:
a = 8.363 Å, b = 8.363 Å, c = 8.363 Å
α = 149.86°, β = 109.83°, γ = 78.23°
Positions (direct):
Y 0.000 0.000 0.000
Y 0.300 0.300 0.000
Y 0.700 0.700 0.000
Ga 0.028 0.659 0.369
Ga 0.138 0.858 0.280
Ga 0.290 0.659 0.631
Ga 0.423 0.142 0.280
Ga 0.577 0.858 0.720
Ga 0.710 0.341 0.369
Ga 0.862 0.142 0.720
Ga 0.972 0.341 0.631
Ag 0.309 0.500 0.809
Ag 0.500 0.000 0.500
Ag 0.691 0.500 0.191

---

# 2
GdAg: computed powder diffractogram (Cu Kα, 1.54184 Å), based on a PBE-relaxed structure.
Intensities are scaled so that the largest is 100.

Principal peaks in the range 15° ≤ 2θ ≤ 90°, sorted by position:
d (Å)	2theta	I/Imax
3.687	24.1	3
2.607	34.4	100
1.843	49.4	18
1.505	61.6	36
1.303	72.5	11
1.166	82.8	16

Atomic structure:
a = 3.687 Å, b = 3.687 Å, c = 3.687 Å
α = 90.00°, β = 90.00°, γ = 90.00°
Positions (direct):
Gd 0.000 0.000 0.000
Ag 0.500 0.500 0.500

---

# 3
GdAg3: computed powder diffractogram (Cu Kα, 1.54184 Å), based on a PBE-relaxed structure.
Intensities are scaled so that the largest is 100.

Principal peaks in the range 15° ≤ 2θ ≤ 90°, sorted by position:
d (Å)	2theta	I/Imax
2.754	32.5	24
2.473	36.3	25
2.406	37.4	100
1.590	58.0	17
1.415	66.0	18
1.337	70.4	19

Atomic structure:
a = 6.360 Å, b = 6.360 Å, c = 4.946 Å
α = 90.00°, β = 90.00°, γ = 120.00°
Positions (direct):
Gd 0.333 0.667 0.250
Gd 0.667 0.333 0.750
Ag 0.156 0.311 0.750
Ag 0.156 0.844 0.750
Ag 0.311 0.156 0.250
Ag 0.689 0.844 0.750
Ag 0.844 0.156 0.250
Ag 0.844 0.689 0.250

---

# 4
Gd3Ag: computed powder diffractogram (Cu Kα, 1.54184 Å), based on a PBE-relaxed structure.
Intensities are scaled so that the largest is 100.

Principal peaks in the range 15° ≤ 2θ ≤ 90°, sorted by position:
d (Å)	2theta	I/Imax
2.999	29.8	24
2.725	32.9	25
2.627	34.1	100
1.731	52.9	19
1.554	59.5	20
1.461	63.7	21

Atomic structure:
a = 6.925 Å, b = 6.925 Å, c = 5.451 Å
α = 90.00°, β = 90.00°, γ = 120.00°
Positions (direct):
Gd 0.173 0.345 0.250
Gd 0.173 0.827 0.250
Gd 0.345 0.173 0.750
Gd 0.655 0.827 0.250
Gd 0.827 0.173 0.750
Gd 0.827 0.655 0.750
Ag 0.333 0.667 0.750
Ag 0.667 0.333 0.250

---

# 5
GdAgGe: computed powder diffractogram (Cu Kα, 1.54184 Å), based on a PBE-relaxed structure.
Intensities are scaled so that the largest is 100.

Principal peaks in the range 15° ≤ 2θ ≤ 90°, sorted by position:
d (Å)	2theta	I/Imax
2.762	32.4	100
2.528	35.5	87
2.371	37.9	49
2.135	42.3	29
1.586	58.1	27
1.364	68.8	23

Atomic structure:
a = 7.243 Å, b = 7.243 Å, c = 4.269 Å
α = 90.00°, β = 90.00°, γ = 120.00°
Positions (direct):
Gd 0.000 0.585 0.000
Gd 0.415 0.415 0.000
Gd 0.585 0.000 0.000
Ag 0.000 0.250 0.500
Ag 0.250 0.000 0.500
Ag 0.750 0.750 0.500
Ge 0.000 0.000 0.000
Ge 0.333 0.667 0.500
Ge 0.667 0.333 0.500

---

# 6
Gd2InAg: computed powder diffractogram (Cu Kα, 1.54184 Å), based on a PBE-relaxed structure.
Intensities are scaled so that the largest is 100.

Principal peaks in the range 15° ≤ 2θ ≤ 90°, sorted by position:
d (Å)	2theta	I/Imax
2.669	33.6	100
2.627	34.1	49
1.857	49.0	17
1.549	59.7	17
1.525	60.8	35
1.334	70.6	11

Atomic structure:
a = 3.715 Å, b = 3.715 Å, c = 7.673 Å
α = 90.00°, β = 90.00°, γ = 90.00°
Positions (direct):
Gd 0.000 0.000 0.235
Gd 0.000 0.000 0.765
In 0.500 0.500 0.500
Ag 0.500 0.500 0.000

---

# 7
Gd2AgIr: computed powder diffractogram (Cu Kα, 1.54184 Å), based on a PBE-relaxed structure.
Intensities are scaled so that the largest is 100.

Principal peaks in the range 15° ≤ 2θ ≤ 90°, sorted by position:
d (Å)	2theta	I/Imax
4.107	21.6	3
2.515	35.7	100
1.778	51.4	18
1.452	64.1	36
1.257	75.6	11
1.125	86.5	16

Atomic structure:
a = 5.030 Å, b = 5.030 Å, c = 5.030 Å
α = 60.00°, β = 60.00°, γ = 60.00°
Positions (direct):
Gd 0.250 0.250 0.250
Gd 0.750 0.750 0.750
Ag 0.000 0.000 0.000
Ir 0.500 0.500 0.500

---

# 8
GdMg2Ag: computed powder diffractogram (Cu Kα, 1.54184 Å), based on a PBE-relaxed structure.
Intensities are scaled so that the largest is 100.

Principal peaks in the range 15° ≤ 2θ ≤ 90°, sorted by position:
d (Å)	2theta	I/Imax
3.591	24.8	57
2.539	35.3	100
2.073	43.7	17
1.795	50.9	17
1.606	57.4	22
1.466	63.5	35

Atomic structure:
a = 5.078 Å, b = 5.078 Å, c = 5.078 Å
α = 60.00°, β = 60.00°, γ = 60.00°
Positions (direct):
Gd 0.000 0.000 0.000
Mg 0.250 0.250 0.250
Mg 0.750 0.750 0.750
Ag 0.500 0.500 0.500

---

# 9
GdMgAg2: computed powder diffractogram (Cu Kα, 1.54184 Å), based on a PBE-relaxed structure.
Intensities are scaled so that the largest is 100.

Principal peaks in the range 15° ≤ 2θ ≤ 90°, sorted by position:
d (Å)	2theta	I/Imax
4.082	21.8	24
2.499	35.9	100
2.132	42.4	13
1.767	51.7	17
1.443	64.6	34
1.118	87.2	15

Atomic structure:
a = 4.999 Å, b = 4.999 Å, c = 4.999 Å
α = 60.00°, β = 60.00°, γ = 60.00°
Positions (direct):
Gd 0.000 0.000 0.000
Mg 0.500 0.500 0.500
Ag 0.250 0.250 0.250
Ag 0.750 0.750 0.750

---

# 10
GdNb5Ag2O15: computed powder diffractogram (Cu Kα, 1.54184 Å), based on a PBE-relaxed structure.
Intensities are scaled so that the largest is 100.

Principal peaks in the range 15° ≤ 2θ ≤ 90°, sorted by position:
d (Å)	2theta	I/Imax
3.236	27.6	61
3.080	29.0	72
2.960	30.2	34
2.840	31.5	39
2.812	31.8	100
1.969	46.1	31

Atomic structure:
a = 12.699 Å, b = 12.699 Å, c = 3.938 Å
α = 90.00°, β = 90.00°, γ = 90.00°
Positions (direct):
Gd 0.000 0.000 0.000
Gd 0.500 0.500 0.000
Nb 0.000 0.500 0.500
Nb 0.078 0.212 0.500
Nb 0.212 0.922 0.500
Nb 0.288 0.422 0.500
Nb 0.422 0.712 0.500
Nb 0.500 0.000 0.500
Nb 0.578 0.288 0.500
Nb 0.712 0.578 0.500
Nb 0.788 0.078 0.500
Nb 0.922 0.788 0.500
Ag 0.175 0.675 0.000
Ag 0.325 0.175 0.000
Ag 0.675 0.825 0.000
Ag 0.825 0.325 0.000
O 0.000 0.341 0.500
O 0.000 0.500 0.000
O 0.000 0.659 0.500
O 0.055 0.869 0.500
O 0.082 0.187 0.000
O 0.131 0.055 0.500
O 0.159 0.500 0.500
O 0.187 0.918 0.000
O 0.226 0.274 0.500
O 0.274 0.774 0.500
O 0.313 0.418 0.000
O 0.341 0.000 0.500
O 0.369 0.555 0.500
O 0.418 0.687 0.000
O 0.445 0.369 0.500
O 0.500 0.000 0.000
O 0.500 0.159 0.500
O 0.500 0.841 0.500
O 0.555 0.631 0.500
O 0.582 0.313 0.000
O 0.631 0.445 0.500
O 0.659 0.000 0.500
O 0.687 0.582 0.000
O 0.726 0.226 0.500
O 0.774 0.726 0.500
O 0.813 0.082 0.000
O 0.841 0.500 0.500
O 0.869 0.945 0.500
O 0.918 0.813 0.000
O 0.945 0.131 0.500

---

# 11
Gd2AgRh: computed powder diffractogram (Cu Kα, 1.54184 Å), based on a PBE-relaxed structure.
Intensities are scaled so that the largest is 100.

Principal peaks in the range 15° ≤ 2θ ≤ 90°, sorted by position:
d (Å)	2theta	I/Imax
3.567	25.0	4
2.522	35.6	100
1.783	51.2	18
1.456	63.9	36
1.261	75.4	11
1.128	86.2	16

Atomic structure:
a = 5.044 Å, b = 5.044 Å, c = 5.044 Å
α = 60.00°, β = 60.00°, γ = 60.00°
Positions (direct):
Gd 0.250 0.250 0.250
Gd 0.750 0.750 0.750
Ag 0.000 0.000 0.000
Rh 0.500 0.500 0.500

---

# 12
GdAgSe2: computed powder diffractogram (Cu Kα, 1.54184 Å), based on a PBE-relaxed structure.
Intensities are scaled so that the largest is 100.

Principal peaks in the range 15° ≤ 2θ ≤ 90°, sorted by position:
d (Å)	2theta	I/Imax
3.571	24.9	40
3.154	28.3	35
2.448	36.7	100
2.062	43.9	45
1.577	58.5	25
1.253	76.0	23

Atomic structure:
a = 4.124 Å, b = 4.124 Å, c = 6.725 Å
α = 90.00°, β = 90.00°, γ = 120.00°
Positions (direct):
Gd 0.000 0.000 0.000
Ag 0.000 0.000 0.500
Se 0.333 0.667 0.248
Se 0.667 0.333 0.752

---

# 13
GdAgSe2: computed powder diffractogram (Cu Kα, 1.54184 Å), based on a PBE-relaxed structure.
Intensities are scaled so that the largest is 100.

Principal peaks in the range 15° ≤ 2θ ≤ 90°, sorted by position:
d (Å)	2theta	I/Imax
3.088	28.9	52
2.869	31.2	100
2.102	43.0	70
2.029	44.7	37
1.696	54.1	35
1.185	81.2	22

Atomic structure:
a = 7.390 Å, b = 7.390 Å, c = 7.390 Å
α = 134.32°, β = 134.32°, γ = 66.60°
Positions (direct):
Gd 0.000 0.000 0.000
Gd 0.750 0.250 0.500
Ag 0.222 0.722 0.500
Ag 0.472 0.472 0.000
Se 0.238 0.238 0.000
Se 0.516 0.016 0.500
Se 0.766 0.766 0.000
Se 0.988 0.488 0.500

---

# 14
GdSiAg: computed powder diffractogram (Cu Kα, 1.54184 Å), based on a PBE-relaxed structure.
Intensities are scaled so that the largest is 100.

Principal peaks in the range 15° ≤ 2θ ≤ 90°, sorted by position:
d (Å)	2theta	I/Imax
2.733	32.8	100
2.500	35.9	65
2.339	38.5	51
2.121	42.6	23
1.591	58.0	29
1.571	58.8	29

Atomic structure:
a = 7.146 Å, b = 7.146 Å, c = 4.241 Å
α = 90.00°, β = 90.00°, γ = 120.00°
Positions (direct):
Gd 0.000 0.417 0.000
Gd 0.417 0.000 0.000
Gd 0.583 0.583 0.000
Si 0.000 0.000 0.000
Si 0.333 0.667 0.500
Si 0.667 0.333 0.500
Ag 0.000 0.750 0.500
Ag 0.250 0.250 0.500
Ag 0.750 0.000 0.500